# 1
FeH2C2O4: calculated powder diffraction line list (Cu Kα (weighted mean of Kα1 and Kα2)), based on a crystal structure in the Materials Project, relaxed with GGA+U.
Peak positions follow from Bragg's law for the DFT cell and can differ from measured ones.

Atomic structure:
a b c (Å): 10.978 5.421 9.359
angles (deg): 90.00 125.79 90.00
Space group C2/c (No. 15)
Unique sites:
Fe (0.000, 0.167, 0.250) (multiplicity 4)
H (0.156, 0.168, 0.249) (multiplicity 8)
C (0.051, 0.333, 0.852) (multiplicity 8)
O (0.087, 0.124, 0.927) (multiplicity 8)
O (0.089, 0.458, 0.427) (multiplicity 8)

Largest 10 diffraction maxima, sorted by position, 2θ = 5–70°:
h k l  2θ/deg  I_rel
2 0 0  19.96  100
1 1 1  25.40  11
4 0 -2  32.63  25
1 1 -3  34.85  12
3 1 1  42.09  6
2 2 -3  44.26  13
1 1 3  45.80  6
0 2 3  49.27  6
6 0 -2  51.37  6
4 2 1  60.35  5

***

# 2
MnFe2P2O18: calculated powder diffraction line list (Cu Kα (weighted mean of Kα1 and Kα2)), based on a crystal structure in the Materials Project, relaxed with GGA+U.
Peak positions follow from Bragg's law for the DFT cell and can differ from measured ones.

Atomic structure:
a b c (Å): 6.869 10.045 10.261
angles (deg): 106.33 107.41 94.68
Space group P-1 (No. 2)
Unique sites:
Mn (0.152, 0.002, 0.280) (multiplicity 2)
Fe (0.000, 0.500, 0.500) (multiplicity 1)
Fe (0.237, 0.499, 0.247) (multiplicity 2)
Fe (0.500, 0.500, 0.000) (multiplicity 1)
P (0.055, 0.305, 0.907) (multiplicity 2)
P (0.364, 0.314, 0.460) (multiplicity 2)
O (0.006, 0.486, 0.318) (multiplicity 2)
O (0.017, 0.128, 0.203) (multiplicity 2)
O (0.046, 0.374, 0.059) (multiplicity 2)
O (0.059, 0.145, 0.876) (multiplicity 2)
O (0.074, 0.943, 0.635) (multiplicity 2)
O (0.143, 0.678, 0.205) (multiplicity 2)
O (0.163, 0.670, 0.632) (multiplicity 2)
O (0.197, 0.888, 0.389) (multiplicity 2)
O (0.219, 0.389, 0.539) (multiplicity 2)
O (0.251, 0.375, 0.887) (multiplicity 2)
O (0.316, 0.328, 0.307) (multiplicity 2)
O (0.333, 0.154, 0.445) (multiplicity 2)
O (0.335, 0.973, 0.195) (multiplicity 2)
O (0.379, 0.714, 0.966) (multiplicity 2)
O (0.385, 0.072, 0.714) (multiplicity 2)
O (0.410, 0.621, 0.445) (multiplicity 2)
O (0.445, 0.519, 0.166) (multiplicity 2)
O (0.451, 0.780, 0.903) (multiplicity 2)

Largest 10 diffraction maxima, sorted by position, 2θ = 5–70°:
h k l  2θ/deg  I_rel
0 1 0  9.33  100
1 0 -1  13.84  39
0 1 -2  18.40  52
0 2 0  18.72  37
1 0 1  19.23  42
1 0 -2  19.46  26
1 -2 1  22.67  41
1 -3 1  29.27  39
1 2 1  30.71  34
0 2 2  31.02  26

***

# 3
Na2PdW6S2N2O6: calculated powder diffraction line list (Cu Kα (weighted mean of Kα1 and Kα2)), based on a crystal structure in the Materials Project, relaxed with GGA+U.
Peak positions follow from Bragg's law for the DFT cell and can differ from measured ones.

Atomic structure:
a b c (Å): 6.520 7.642 8.223
angles (deg): 113.60 100.34 91.33
Space group P-1 (No. 2)
Unique sites:
Na (0.124, 0.171, 0.221) (multiplicity 2)
Pd (0.500, 0.500, 0.000) (multiplicity 1)
W (0.035, 0.189, 0.600) (multiplicity 2)
W (0.360, 0.998, 0.694) (multiplicity 2)
W (0.492, 0.636, 0.388) (multiplicity 2)
S (0.248, 0.705, 0.050) (multiplicity 2)
N (0.202, 0.345, 0.539) (multiplicity 2)
O (0.040, 0.671, 0.932) (multiplicity 2)
O (0.209, 0.709, 0.243) (multiplicity 2)
O (0.331, 0.917, 0.104) (multiplicity 2)

Largest 10 diffraction maxima, sorted by position, 2θ = 5–70°:
h k l  2θ/deg  I_rel
0 0 1  12.00  94
0 1 -1  13.43  100
-1 1 1  22.86  31
1 1 -2  24.20  40
1 2 -2  29.42  27
0 1 2  31.79  54
2 -1 1  32.19  26
1 -3 1  37.62  44
2 -1 2  38.84  30
1 -2 3  39.62  52

***

# 4
MgV2O4F2: calculated powder diffraction line list (Cu Kα (weighted mean of Kα1 and Kα2)), based on a crystal structure in the Materials Project, relaxed with GGA+U.
Peak positions follow from Bragg's law for the DFT cell and can differ from measured ones.

Atomic structure:
a b c (Å): 5.113 5.146 5.365
angles (deg): 92.13 116.31 118.50
Space group P1 (No. 1)
Unique sites:
Mg (0.000, 0.000, 0.000) (multiplicity 1)
V (0.565, 0.744, 0.369) (multiplicity 1)
V (0.622, 0.308, 0.876) (multiplicity 1)
O (0.101, 0.420, 0.155) (multiplicity 1)
O (0.537, 0.981, 0.662) (multiplicity 1)
O (0.725, 0.682, 0.150) (multiplicity 1)
O (0.730, 0.588, 0.670) (multiplicity 1)
F (0.118, 0.163, 0.680) (multiplicity 1)
F (0.458, 0.049, 0.145) (multiplicity 1)

Largest 10 diffraction maxima, sorted by position, 2θ = 5–70°:
h k l  2θ/deg  I_rel
1 0 0  23.26  96
0 1 -1  23.55  100
-1 1 1  24.48  88
1 -1 1  32.46  37
0 1 1  32.85  46
1 0 -2  33.55  39
-1 2 1  40.72  28
2 0 0  47.55  29
0 2 -2  48.18  32
2 -1 1  52.55  45

***

# 5
LiMnP3O9: calculated powder diffraction line list (Cu Kα (weighted mean of Kα1 and Kα2)), based on a crystal structure in the Materials Project, relaxed with GGA+U.
Peak positions follow from Bragg's law for the DFT cell and can differ from measured ones.

Atomic structure:
a b c (Å): 8.576 8.693 9.002
angles (deg): 90.00 90.00 90.00
Space group P2_12_12_1 (No. 19)
Unique sites:
Li (0.128, 0.144, 0.166) (multiplicity 4)
Mn (0.153, 0.870, 0.392) (multiplicity 4)
P (0.030, 0.683, 0.681) (multiplicity 4)
P (0.190, 0.520, 0.192) (multiplicity 4)
P (0.200, 0.195, 0.568) (multiplicity 4)
O (0.041, 0.231, 0.660) (multiplicity 4)
O (0.094, 0.389, 0.134) (multiplicity 4)
O (0.099, 0.129, 0.920) (multiplicity 4)
O (0.128, 0.613, 0.320) (multiplicity 4)
O (0.132, 0.810, 0.624) (multiplicity 4)
O (0.138, 0.541, 0.733) (multiplicity 4)
O (0.158, 0.138, 0.415) (multiplicity 4)
O (0.193, 0.905, 0.160) (multiplicity 4)
O (0.229, 0.634, 0.053) (multiplicity 4)

Largest 10 diffraction maxima, sorted by position, 2θ = 5–70°:
h k l  2θ/deg  I_rel
1 1 1  17.55  93
0 1 2  22.25  100
0 2 1  22.72  62
2 0 1  22.97  60
1 1 2  24.57  66
1 2 1  25.01  61
2 1 1  25.18  42
1 3 0  32.62  70
3 0 1  32.87  58
1 1 3  33.27  34

***

# 6
K2MnHgF6: calculated powder diffraction line list (Cu Kα (weighted mean of Kα1 and Kα2)), based on a crystal structure in the Materials Project, relaxed with GGA+U.
Peak positions follow from Bragg's law for the DFT cell and can differ from measured ones.

Atomic structure:
a b c (Å): 8.837 8.837 8.837
angles (deg): 90.00 90.00 90.00
Space group Fm-3m (No. 225)
Unique sites:
K (0.250, 0.250, 0.250) (multiplicity 8)
Mn (0.000, 0.000, 0.000) (multiplicity 4)
Hg (0.000, 0.000, 0.500) (multiplicity 4)
F (0.000, 0.000, 0.234) (multiplicity 24)

Largest 10 diffraction maxima, sorted by position, 2θ = 5–70°:
h k l  2θ/deg  I_rel
1 1 1  17.38  38
2 0 0  20.10  59
2 2 0  28.57  100
3 1 1  33.64  32
4 0 0  40.85  42
3 3 1  44.70  18
4 2 0  45.93  28
4 2 2  50.60  40
4 4 0  59.14  26
6 2 0  66.97  18

***

# 7
Li3Al2FeO6: calculated powder diffraction line list (Cu Kα (weighted mean of Kα1 and Kα2)), based on a crystal structure in the Materials Project, relaxed with GGA+U.
Peak positions follow from Bragg's law for the DFT cell and can differ from measured ones.

Atomic structure:
a b c (Å): 5.887 10.217 9.971
angles (deg): 90.00 125.57 90.00
Space group P2_1/c (No. 14)
Unique sites:
Li (0.192, 0.153, 0.376) (multiplicity 4)
Li (0.204, 0.005, 0.861) (multiplicity 4)
Li (0.260, 0.001, 0.614) (multiplicity 4)
Al (0.213, 0.668, 0.879) (multiplicity 4)
Al (0.298, 0.661, 0.626) (multiplicity 4)
Fe (0.289, 0.164, 0.126) (multiplicity 4)
O (0.011, 0.174, 0.874) (multiplicity 4)
O (0.061, 0.676, 0.387) (multiplicity 4)
O (0.064, 0.520, 0.878) (multiplicity 4)
O (0.434, 0.503, 0.628) (multiplicity 4)
O (0.465, 0.690, 0.123) (multiplicity 4)
O (0.491, 0.177, 0.637) (multiplicity 4)

Largest 10 diffraction maxima, sorted by position, 2θ = 5–70°:
h k l  2θ/deg  I_rel
0 1 1  13.94  14
0 2 0  17.37  50
1 0 -2  18.72  27
1 2 -1  23.05  17
0 1 2  23.60  23
1 1 1  27.98  18
1 1 -3  28.24  17
1 3 -1  30.34  100
0 0 4  44.70  42
3 3 -3  53.90  59

***

# 8
NiP2O7: calculated powder diffraction line list (Cu Kα (weighted mean of Kα1 and Kα2)), based on a crystal structure in the Materials Project, relaxed with GGA+U.
Peak positions follow from Bragg's law for the DFT cell and can differ from measured ones.

Atomic structure:
a b c (Å): 7.255 8.195 9.343
angles (deg): 90.00 108.85 90.00
Space group P2_1/c (No. 14)
Unique sites:
Ni (0.230, 0.006, 0.252) (multiplicity 4)
P (0.171, 0.698, 0.438) (multiplicity 4)
P (0.432, 0.237, 0.561) (multiplicity 4)
O (0.037, 0.585, 0.318) (multiplicity 4)
O (0.143, 0.620, 0.900) (multiplicity 4)
O (0.159, 0.669, 0.596) (multiplicity 4)
O (0.286, 0.154, 0.099) (multiplicity 4)
O (0.340, 0.179, 0.398) (multiplicity 4)
O (0.386, 0.648, 0.437) (multiplicity 4)
O (0.492, 0.596, 0.827) (multiplicity 4)

Largest 10 diffraction maxima, sorted by position, 2θ = 5–70°:
h k l  2θ/deg  I_rel
1 1 -1  17.34  100
1 0 -2  20.07  11
1 1 1  21.68  33
0 1 2  22.86  29
2 1 0  28.18  28
2 1 -2  29.40  13
0 2 2  29.73  55
1 1 -3  30.88  18
1 3 1  38.03  10
2 4 2  59.70  10